Simulated powder diffraction line list
Compound: LiTiFeO4
Radiation: Cu Kα (weighted mean of Kα1 and Kα2)
Structure: DFT lattice parameters and positions (PBE+U)

Principal peaks in the range 5° ≤ 2θ ≤ 70°, in order of falling intensity:
2θ = 35.19°, I 100; 2θ = 30.08°, I 63; 2θ = 35.62°, I 52; 2θ = 62.53°, I 48; 2θ = 23.56°, I 31; 2θ = 29.83°, I 30

Cell and atoms:
```
data_LiTiFeO4
_chemical_formula_sum 'Li4 Ti4 Fe4 O16'
_symmetry_space_group_name_H-M 'P 43 2 2'
_symmetry_Int_Tables_number 95
_cell_length_a 5.9901
_cell_length_b 5.9901
_cell_length_c 8.3360
_cell_angle_alpha 90.00
_cell_angle_beta 90.00
_cell_angle_gamma 90.00
loop_
_symmetry_equiv_pos_as_xyz
'x,y,z'
'-y,x,z+3/4'
'-x,-y,z+1/2'
'y,-x,z+1/4'
'x,-y,-z+1/2'
'-y,-x,-z+3/4'
'-x,y,-z'
'y,x,-z+1/4'
loop_
_atom_site_label
_atom_site_type_symbol
_atom_site_fract_x
_atom_site_fract_y
_atom_site_fract_z
Li1 Li 0.0000 0.2270 0.0000
Ti1 Ti 0.2208 0.5000 0.2500
Fe1 Fe 0.2586 0.2586 0.6250
O1 O 0.0133 0.2661 0.2569
O2 O 0.2647 0.4851 0.0147
```

---

Simulated powder diffraction line list
Compound: NaLi5Fe2P2C2O14
Radiation: Cu Kα (weighted mean of Kα1 and Kα2)
Structure: DFT lattice parameters and positions (PBE+U)

Principal peaks in the range 5° ≤ 2θ ≤ 70°, in order of falling intensity:
2θ = 10.35°, I 100; 2θ = 27.29°, I 97; 2θ = 21.09°, I 42; 2θ = 26.34°, I 38; 2θ = 19.78°, I 35; 2θ = 35.60°, I 29

Cell and atoms:
```
data_NaLi5Fe2P2C2O14
_chemical_formula_sum 'Na2 Li10 Fe4 P4 C4 O28'
_symmetry_space_group_name_H-M 'P -1'
_symmetry_Int_Tables_number 2
_cell_length_a 6.5358
_cell_length_b 8.5690
_cell_length_c 10.1154
_cell_angle_alpha 85.83
_cell_angle_beta 89.92
_cell_angle_gamma 89.17
loop_
_symmetry_equiv_pos_as_xyz
'x,y,z'
'-x,-y,-z'
loop_
_atom_site_label
_atom_site_type_symbol
_atom_site_fract_x
_atom_site_fract_y
_atom_site_fract_z
Na1 Na 0.0001 0.2441 0.3717
Li1 Li 0.0174 0.2285 0.8744
Li2 Li 0.2656 0.4085 0.1218
Li3 Li 0.2706 0.4132 0.6260
Li4 Li 0.4761 0.2235 0.8774
Li5 Li 0.4773 0.2230 0.3778
Fe1 Fe 0.2532 0.8364 0.8962
Fe2 Fe 0.2553 0.8415 0.3913
P1 P 0.2527 0.0888 0.1419
P2 P 0.2552 0.0898 0.6458
C1 C 0.2530 0.5335 0.8584
C2 C 0.2602 0.5410 0.3529
O1 O 0.0568 0.1797 0.6001
O2 O 0.0603 0.1907 0.0994
O3 O 0.2458 0.3881 0.8308
O4 O 0.2463 0.9237 0.0899
O5 O 0.2492 0.5762 0.4757
O6 O 0.2528 0.5744 0.9794
O7 O 0.2536 0.6535 0.2581
O8 O 0.2585 0.0697 0.8010
O9 O 0.2615 0.6424 0.7613
O10 O 0.2707 0.0716 0.2958
O11 O 0.2749 0.9278 0.5891
O12 O 0.2785 0.3977 0.3216
O13 O 0.4304 0.2015 0.5947
O14 O 0.4332 0.1896 0.0828
```

---

Simulated powder diffraction line list
Compound: MgFe8O8F8
Radiation: Cu Kα (weighted mean of Kα1 and Kα2)
Structure: DFT lattice parameters and positions (PBE+U)

Principal peaks in the range 5° ≤ 2θ ≤ 70°, in order of falling intensity:
2θ = 33.70°, I 100; 2θ = 27.39°, I 87; 2θ = 33.53°, I 57; 2θ = 24.15°, I 54; 2θ = 31.22°, I 42; 2θ = 56.80°, I 42

Cell and atoms:
```
data_MgFe8O8F8
_chemical_formula_sum 'Mg1 Fe8 O8 F8'
_symmetry_space_group_name_H-M 'P 1 m 1'
_symmetry_Int_Tables_number 6
_cell_length_a 9.7571
_cell_length_b 3.1832
_cell_length_c 9.9145
_cell_angle_alpha 90.00
_cell_angle_beta 97.07
_cell_angle_gamma 90.00
loop_
_symmetry_equiv_pos_as_xyz
'x,y,z'
'x,-y,z'
loop_
_atom_site_label
_atom_site_type_symbol
_atom_site_fract_x
_atom_site_fract_y
_atom_site_fract_z
Mg1 Mg 0.0000 0.0000 0.0000
Fe1 Fe 0.0382 0.0000 0.6489
Fe2 Fe 0.2456 0.5000 0.4647
Fe3 Fe 0.2832 0.5000 0.9704
Fe4 Fe 0.5261 0.0000 0.2591
Fe5 Fe 0.5270 0.0000 0.7305
Fe6 Fe 0.6917 0.5000 0.0138
Fe7 Fe 0.7370 0.5000 0.5280
Fe8 Fe 0.9558 0.0000 0.3396
O1 O 0.1420 0.5000 0.6122
O2 O 0.1514 0.0000 0.3681
O3 O 0.6024 0.5000 0.1687
O4 O 0.6036 0.5000 0.6653
O5 O 0.6309 0.0000 0.9191
O6 O 0.6379 0.0000 0.4229
O7 O 0.8427 0.0000 0.6160
O8 O 0.8767 0.5000 0.3861
F1 F 0.1115 0.5000 0.0813
F2 F 0.1483 0.0000 0.8779
F3 F 0.3689 0.0000 0.0865
F4 F 0.3694 0.0000 0.5655
F5 F 0.3969 0.5000 0.3272
F6 F 0.4023 0.5000 0.8185
F7 F 0.8727 0.0000 0.1414
F8 F 0.8805 0.5000 0.9314
```

---

Simulated powder diffraction line list
Compound: Mn2InO5
Radiation: Cu Kα (weighted mean of Kα1 and Kα2)
Structure: DFT lattice parameters and positions (PBE+U)

Principal peaks in the range 5° ≤ 2θ ≤ 70°, in order of falling intensity:
2θ = 30.59°, I 100; 2θ = 29.09°, I 80; 2θ = 34.41°, I 37; 2θ = 54.44°, I 32; 2θ = 35.35°, I 32; 2θ = 59.48°, I 25

Cell and atoms:
```
data_Mn2InO5
_chemical_formula_sum 'Mn8 In4 O20'
_symmetry_space_group_name_H-M 'P b a m'
_symmetry_Int_Tables_number 55
_cell_length_a 7.4504
_cell_length_b 8.3466
_cell_length_c 5.7091
_cell_angle_alpha 90.00
_cell_angle_beta 90.00
_cell_angle_gamma 90.00
loop_
_symmetry_equiv_pos_as_xyz
'x,y,z'
'-x,-y,-z'
'-x,-y,z'
'x,y,-z'
'x+1/2,-y+1/2,-z'
'-x+1/2,y+1/2,z'
'-x+1/2,y+1/2,-z'
'x+1/2,-y+1/2,z'
loop_
_atom_site_label
_atom_site_type_symbol
_atom_site_fract_x
_atom_site_fract_y
_atom_site_fract_z
Mn1 Mn 0.0000 0.0000 0.2468
Mn2 Mn 0.0972 0.3469 0.0000
In1 In 0.1453 0.6621 0.5000
O1 O 0.0000 0.5000 0.2374
O2 O 0.1239 0.2006 0.2586
O3 O 0.1412 0.9161 0.0000
O4 O 0.1551 0.9299 0.5000
```

---

Simulated powder diffraction line list
Compound: Y5MgMo2O12
Radiation: Cu Kα (weighted mean of Kα1 and Kα2)
Structure: DFT lattice parameters and positions (PBE+U)

Principal peaks in the range 5° ≤ 2θ ≤ 70°, in order of falling intensity:
2θ = 28.11°, I 100; 2θ = 39.38°, I 67; 2θ = 26.25°, I 53; 2θ = 26.36°, I 52; 2θ = 32.28°, I 42; 2θ = 43.87°, I 35

Cell and atoms:
```
data_Y5MgMo2O12
_chemical_formula_sum 'Y5 Mg1 Mo2 O12'
_symmetry_space_group_name_H-M 'P 1'
_symmetry_Int_Tables_number 1
_cell_length_a 5.9324
_cell_length_b 7.1122
_cell_length_c 7.5166
_cell_angle_alpha 105.51
_cell_angle_beta 90.06
_cell_angle_gamma 114.40
loop_
_symmetry_equiv_pos_as_xyz
'x,y,z'
loop_
_atom_site_label
_atom_site_type_symbol
_atom_site_fract_x
_atom_site_fract_y
_atom_site_fract_z
Y1 Y 0.0000 0.0000 0.0000
Y2 Y 0.0023 0.9991 0.5082
Y3 Y 0.3367 0.6751 0.1528
Y4 Y 0.6157 0.2246 0.3092
Y5 Y 0.6248 0.2511 0.8582
Mg1 Mg 0.1766 0.3428 0.3368
Mo1 Mo 0.0838 0.6357 0.6589
Mo2 Mo 0.5574 0.6368 0.6596
O1 O 0.2127 0.9362 0.2279
O2 O 0.2332 0.9832 0.7567
O3 O 0.3110 0.6233 0.8563
O4 O 0.3270 0.6551 0.4554
O5 O 0.3841 0.2950 0.5355
O6 O 0.3973 0.3189 0.1150
O7 O 0.7208 0.9326 0.2259
O8 O 0.7521 0.9851 0.7562
O9 O 0.8088 0.6090 0.8426
O10 O 0.8210 0.6347 0.4743
O11 O 0.9211 0.2955 0.5320
O12 O 0.9259 0.3182 0.1152
```

---

Simulated powder diffraction line list
Compound: LaFeBiO6
Radiation: Cu Kα (weighted mean of Kα1 and Kα2)
Structure: DFT lattice parameters and positions (PBE+U)

Principal peaks in the range 5° ≤ 2θ ≤ 70°, in order of falling intensity:
2θ = 31.23°, I 100; 2θ = 18.58°, I 98; 2θ = 31.38°, I 98; 2θ = 19.24°, I 55; 2θ = 21.73°, I 54; 2θ = 31.81°, I 51

Cell and atoms:
```
data_LaFeBiO6
_chemical_formula_sum 'La2 Fe2 Bi2 O12'
_symmetry_space_group_name_H-M 'P 1 c 1'
_symmetry_Int_Tables_number 7
_cell_length_a 5.6256
_cell_length_b 5.9566
_cell_length_c 9.7386
_cell_angle_alpha 90.00
_cell_angle_beta 124.91
_cell_angle_gamma 90.00
loop_
_symmetry_equiv_pos_as_xyz
'x,y,z'
'x,-y,z+1/2'
loop_
_atom_site_label
_atom_site_type_symbol
_atom_site_fract_x
_atom_site_fract_y
_atom_site_fract_z
La1 La 0.0000 0.1766 0.0000
Fe1 Fe 0.2591 0.2745 0.7503
Bi1 Bi 0.7589 0.2828 0.2509
O1 O 0.0239 0.4549 0.1960
O2 O 0.0902 0.2247 0.5107
O3 O 0.4076 0.2614 0.9909
O4 O 0.5127 0.0293 0.2802
O5 O 0.6121 0.4259 0.8009
O6 O 0.9671 0.0220 0.7254
```

---

Simulated powder diffraction line list
Compound: Li2TiCr3O8
Radiation: Cu Kα (weighted mean of Kα1 and Kα2)
Structure: DFT lattice parameters and positions (PBE+U)

Principal peaks in the range 5° ≤ 2θ ≤ 70°, in order of falling intensity:
2θ = 18.28°, I 100; 2θ = 42.97°, I 38; 2θ = 62.59°, I 22; 2θ = 43.19°, I 19; 2θ = 35.43°, I 18; 2θ = 35.33°, I 16

Cell and atoms:
```
data_Li2TiCr3O8
_chemical_formula_sum 'Li4 Ti2 Cr6 O16'
_symmetry_space_group_name_H-M 'P -1'
_symmetry_Int_Tables_number 2
_cell_length_a 5.9320
_cell_length_b 5.9353
_cell_length_c 10.2998
_cell_angle_alpha 73.51
_cell_angle_beta 73.62
_cell_angle_gamma 60.06
loop_
_symmetry_equiv_pos_as_xyz
'x,y,z'
'-x,-y,-z'
loop_
_atom_site_label
_atom_site_type_symbol
_atom_site_fract_x
_atom_site_fract_y
_atom_site_fract_z
Li1 Li 0.0612 0.0606 0.3130
Li2 Li 0.4340 0.4403 0.1854
Ti1 Ti 0.0000 0.5000 0.0000
Ti2 Ti 0.5000 0.0000 0.5000
Cr1 Cr 0.0000 0.0000 0.0000
Cr2 Cr 0.0000 0.5000 0.5000
Cr3 Cr 0.2539 0.2484 0.7502
Cr4 Cr 0.5000 0.0000 0.0000
Cr5 Cr 0.5000 0.5000 0.5000
O1 O 0.0927 0.6384 0.1186
O2 O 0.1315 0.1365 0.1073
O3 O 0.1507 0.1380 0.6169
O4 O 0.1603 0.5910 0.6158
O5 O 0.3623 0.3512 0.8872
O6 O 0.3645 0.9039 0.8873
O7 O 0.3765 0.3692 0.3935
O8 O 0.4003 0.8586 0.3845
```

---

- Number 7 is which compound?
  Li2TiCr3O8

---

- What is the formula in the fourth record?
  Mn2InO5